This entry pairs a crystal structure of KCr2FeHO8 with its simulated XRD peak list. Radiation: Cu Kα, 1.54184 Å. Structure: a GGA+U-relaxed structure.
Lines closer than 0.1° are merged.

Largest 8 diffraction maxima, by intensity, 15° ≤ 2θ ≤ 90°:
(1 1 -1), 21.33°, I 100.0; (1 0 2), 21.90°, I 82.5; (2 1 -1), 29.00°, I 50.8; (0 1 3), 31.50°, I 33.5; (0 2 0), 32.37°, I 28.2; (2 1 1), 29.96°, I 23.4; (0 0 2), 17.87°, I 22.3; (1 0 -2), 20.57°, I 18.1

Atomic structure:
Lattice parameters (Å, degrees): 7.7954 5.5310 9.9509 90.00 93.81 90.00
Space group P2_1/m (No. 11)
Symmetry-distinct sites (fractional):
K 0.0231 0.2500 0.1797 (multiplicity 2)
Cr 0.2663 0.7500 0.3795 (multiplicity 2)
Cr 0.2667 0.2500 0.8903 (multiplicity 2)
Fe 0.4991 0.7500 0.7696 (multiplicity 2)
H 0.2442 0.7500 0.6095 (multiplicity 2)
O 0.0591 0.2500 0.9130 (multiplicity 2)
O 0.0600 0.7500 0.3793 (multiplicity 2)
O 0.3124 0.0005 0.8033 (multiplicity 4)
O 0.3317 0.5042 0.3040 (multiplicity 4)
O 0.3444 0.7500 0.5552 (multiplicity 2)
O 0.3733 0.2500 0.0403 (multiplicity 2)